Calculated powder diffraction line list
Compound: CaZn2H10O8
Radiation: CuKα
Structure: a DFT-relaxed cell (GGA-PBE, Alexandria)
Neutral-atom scattering factors, no anomalous dispersion.

Structure:
Cell lengths 6.2565, 10.3041, 6.7079 Å; angles 90.00, 110.09, 90.00 degrees
Atoms (fractional coordinates):
Ca 0.0000 0.0000 0.0000
Ca 0.0000 0.5000 0.5000
Zn 0.4263 0.2251 0.7805
Zn 0.4263 0.2749 0.2805
Zn 0.5737 0.7251 0.7195
Zn 0.5737 0.7749 0.2195
H 0.1277 0.2302 0.4085
H 0.1277 0.2698 0.9085
H 0.1400 0.7062 0.3520
H 0.1400 0.7938 0.8520
H 0.2200 0.6226 0.1597
H 0.2200 0.8774 0.6597
H 0.3438 0.6047 0.9503
H 0.3438 0.8953 0.4503
H 0.4563 0.5066 0.7676
H 0.4563 0.9934 0.2676
H 0.5437 0.0066 0.7324
H 0.5437 0.4934 0.2324
H 0.6562 0.1047 0.5497
H 0.6562 0.3953 0.0497
H 0.7800 0.1226 0.3403
H 0.7800 0.3774 0.8403
H 0.8600 0.2062 0.1480
H 0.8600 0.2938 0.6480
H 0.8723 0.7302 0.0915
H 0.8723 0.7698 0.5915
O 0.0638 0.6386 0.2501
O 0.0638 0.8614 0.7501
O 0.2521 0.2045 0.9826
O 0.2521 0.2955 0.4826
O 0.3579 0.5851 0.7219
O 0.3579 0.9149 0.2219
O 0.3717 0.6207 0.1077
O 0.3717 0.8793 0.6077
O 0.6283 0.1207 0.3923
O 0.6283 0.3793 0.8923
O 0.6421 0.0851 0.7781
O 0.6421 0.4149 0.2781
O 0.7479 0.7045 0.5174
O 0.7479 0.7955 0.0174
O 0.9362 0.1386 0.2499
O 0.9362 0.3614 0.7499

The 10 most intense peaks (2θ = 15–90°), most intense first:
index  d [Å]  two_theta  I/Imax
1 2 0  3.874  22.96  100.0
1 0 0  5.876  15.08  66.6
0 2 0  5.152  17.21  63.5
1 2 1  3.011  29.67  60.9
1 3 0  2.965  30.14  50.8
1 0 -2  3.286  27.14  36.0
0 2 2  2.687  33.34  33.1
2 1 -2  2.566  34.96  32.8
2 3 0  2.233  40.40  25.3
1 4 2  1.775  51.50  24.5